Record 1
The following is a computed PXRD pattern of K3V2Br2F5. It was derived from a structure optimized by DFT (PBE+U), using Cu Kα (weighted mean of Kα1 and Kα2).
Intensities are scaled so that the largest is 100.

Atomic structure:
Cell: 4.3369 4.3369 25.0173 Å, 90.00 90.00 90.00°
Space group I4/mmm (No. 139)
Symmetry-distinct sites (fractional):
K 0.0000 0.0000 0.0000 x2
K 0.0000 0.0000 0.1627 x4
V 0.0000 0.0000 0.4162 x4
Br 0.0000 0.0000 0.3084 x4
F 0.0000 0.0000 0.5000 x2
F 0.0000 0.5000 0.0812 x8

Largest 10 diffraction maxima, low angle first, 2θ = 10–90°:
2theta, I_rel
20.8, 30
23.1, 24
28.5, 24
29.1, 100
32.5, 86
36.4, 47
41.7, 78
51.3, 17
53.8, 37
60.4, 23

***

Record 2
The following is a computed PXRD pattern of K3V2Br3F4. It was derived from a structure optimized by DFT (PBE+U), using Cu Kα (weighted mean of Kα1 and Kα2).
Intensities are scaled so that the largest is 100.

Atomic structure:
Cell: 4.2347 5.3337 24.7629 Å, 90.00 90.00 90.00°
Space group Immm (No. 71)
Symmetry-distinct sites (fractional):
K 0.0000 0.0000 0.0000 x2
K 0.0000 0.0000 0.1984 x4
V 0.0000 0.0000 0.3838 x4
Br 0.0000 0.0000 0.5000 x2
Br 0.0000 0.5000 0.3962 x4
F 0.0000 0.0000 0.3001 x4
F 0.0000 0.5000 0.1190 x4

Largest 10 diffraction maxima, low angle first, 2θ = 10–90°:
2theta, I_rel
14.3, 42
21.3, 89
27.7, 53
30.6, 99
33.6, 100
34.7, 81
36.3, 59
42.7, 49
50.3, 43
55.4, 42